[1]
This entry pairs a crystal structure of PrNd3Ag3 with its computed powder diffraction line list. Radiation: Cu Kα (weighted mean of Kα1 and Kα2). Structure: DFT lattice parameters and positions (PBE).
No peak broadening, texture or thermal motion is included.

Peak list (12 most intense, 2θ = 10–80°, sorted by position)
2θ (°)	d/Å	intensity
27.2	3.274	12
29.0	3.075	16
29.9	2.990	8
33.3	2.689	25
34.3	2.613	100
34.8	2.577	21
36.1	2.489	7
49.0	1.861	11
49.7	1.835	9
60.2	1.538	10
61.1	1.516	7
62.1	1.495	12

Structure:
```
14
Lattice="5.1548 -5.3785 0.0000 5.1548 5.3785 0.0000 -0.0121 0.0000 7.3401" Properties=species:S:1:pos:R:3 pbc="T T T"
Pr 1.8878 0.0000 3.6574
Pr 8.4097 0.0000 3.6827
Nd 5.1548 2.9014 0.0000
Nd 2.4889 0.0000 7.3271
Nd 5.1488 2.1008 3.6700
Nd 5.1488 -2.1008 3.6700
Nd 7.8086 0.0000 0.0129
Nd 5.1548 -2.9014 0.0000
Ag 2.5768 2.6893 1.8637
Ag 7.7208 -2.6893 5.4763
Ag 5.1453 0.0000 1.4819
Ag 2.5768 -2.6893 1.8637
Ag 7.7208 2.6893 5.4763
Ag 5.1522 0.0000 5.8582
```


[2]
This entry pairs a crystal structure of PrSm2Y2Ho with its computed powder diffraction line list. Radiation: Cu Kα (weighted mean of Kα1 and Kα2). Structure: DFT lattice parameters and positions (PBE).
No peak broadening, texture or thermal motion is included.

Peak list (12 most intense, 2θ = 10–80°, sorted by position)
2θ (°)	d/Å	intensity
16.7	5.322	19
26.5	3.369	16
28.8	3.105	61
29.3	3.046	18
30.0	2.977	100
31.0	2.883	36
33.0	2.716	23
33.7	2.661	49
35.7	2.517	33
40.8	2.212	31
58.6	1.575	17
61.8	1.501	16

Structure:
```
12
Lattice="6.6212 0.0000 0.0000 0.0000 17.8893 0.0000 0.0000 0.0000 3.4301" Properties=species:S:1:pos:R:3 pbc="T T T"
Pr 0.0000 0.0000 0.0000
Pr 3.3106 8.9446 1.7150
Sm 1.4610 6.2878 1.7150
Sm 1.8496 15.2325 0.0000
Sm 4.7716 2.6568 0.0000
Sm 5.1602 11.6015 1.7150
Y 1.4861 3.2848 0.0000
Y 1.8245 12.2295 1.7150
Y 4.7967 5.6598 1.7150
Y 5.1351 14.6045 0.0000
Ho 0.0000 8.9446 0.0000
Ho 3.3106 0.0000 1.7150
```


[3]
This entry pairs a crystal structure of As2SeClO with its computed powder diffraction line list. Radiation: Cu Kα (weighted mean of Kα1 and Kα2). Structure: DFT lattice parameters and positions (PBE).
No peak broadening, texture or thermal motion is included.

Peak list (12 most intense, 2θ = 10–80°, sorted by position)
2θ (°)	d/Å	intensity
19.4	4.579	12
19.9	4.469	5
34.2	2.622	100
39.4	2.290	43
40.4	2.235	20
44.2	2.048	3
45.1	2.008	3
56.9	1.619	14
57.6	1.599	27
68.1	1.378	26
69.4	1.353	12
72.0	1.311	13

Structure:
```
5
Lattice="4.5790 0.0000 0.0000 0.0000 4.5790 0.0000 0.0000 0.0000 4.4694" Properties=species:S:1:pos:R:3 pbc="T T T"
As 0.0000 2.2895 0.0000
As 2.2895 0.0000 0.0000
Se 0.0000 0.0000 2.2347
Cl 2.2895 2.2895 2.2347
O 0.0000 0.0000 0.0000
```